# 1
Starting from the GGA-PBE geometry in the Materials Project, the PXRD pattern of NbXeF11 was simulated for Cu Kα.

Structural model:
Unit cell a=17.499 b=8.886 c=5.585 alpha=90.00 beta=90.00 gamma=90.00
Space group Pnma (No. 62)
Unique sites:
Nb1 0.045 0.250 0.215 [4 per cell]
Xe1 0.149 0.750 0.295 [4 per cell]
F1 0.023 0.750 0.489 [4 per cell]
F2 0.038 0.035 0.234 [8 per cell]
F3 0.056 0.750 0.972 [4 per cell]
F4 0.093 0.250 0.914 [4 per cell]
F5 0.137 0.250 0.386 [4 per cell]
F6 0.153 0.592 0.546 [8 per cell]
F7 0.183 0.592 0.066 [8 per cell]
F8 0.241 0.250 0.862 [4 per cell]

Principal peaks in the range 5 to 70 degrees two-theta, low angle first:
Position (°2θ), Rel. int., h k l
14.2, 36, 2 1 0
18.8, 100, 2 0 1
20.0, 80, 0 2 0
21.4, 79, 2 1 1
22.7, 54, 4 1 0
27.6, 48, 2 2 1

---

# 2
Starting from the GGA-PBE geometry in the Materials Project, the PXRD pattern of NdOF was simulated for Cu Kα.

Structural model:
Unit cell a=3.9874 b=3.9874 c=19.9094 alpha=90.00 beta=90.00 gamma=120.00
Space group R-3m (No. 166, hexagonal axes)
Unique sites:
Nd1 0.0000 0.0000 0.2415 [6 per cell]
O1 0.0000 0.0000 0.1220 [6 per cell]
F1 0.0000 0.0000 0.3700 [6 per cell]

Principal peaks in the range 5 to 70 degrees two-theta, low angle first:
Position (°2θ), Rel. int., h k l
26.9, 31, 0 0 6
27.3, 100, 0 1 2
31.5, 36, 1 0 4
44.9, 34, 0 1 8
45.5, 38, 1 1 0
53.6, 27, 1 1 6

---

# 3
Starting from the GGA-PBE geometry in the Materials Project, the PXRD pattern of Nd4O3F7 was simulated for Cu Kα.

Structural model:
Unit cell a=5.516 b=5.852 c=5.867 alpha=90.00 beta=91.10 gamma=90.00
Space group P2 (No. 3)
Unique sites:
Nd1 0.228 0.000 0.251 [2 per cell]
Nd2 0.261 0.521 0.752 [2 per cell]
O1 0.000 0.721 0.000 [1 per cell]
O2 0.000 0.765 0.500 [1 per cell]
O3 0.500 0.751 0.500 [1 per cell]
F1 0.000 0.285 0.500 [1 per cell]
F2 0.184 0.125 0.854 [2 per cell]
F3 0.325 0.405 0.153 [2 per cell]
F4 0.500 0.219 0.500 [1 per cell]
F5 0.500 0.805 0.000 [1 per cell]

Principal peaks in the range 5 to 70 degrees two-theta, low angle first:
Position (°2θ), Rel. int., h k l
26.7, 100, 1 1 -1
27.1, 88, 1 1 1
30.5, 58, 0 0 2
32.5, 26, 2 0 0
43.7, 41, 0 2 2
45.2, 36, 2 2 0